Record 1
# Li2DyY2Sn2
Theoretical PXRD pattern, Cu Kα, 1.54184 Å. Input: DFT lattice parameters and positions (GGA-PBE).
Intensities are scaled so that the largest is 100.

```
data_Li2DyY2Sn2
_chemical_formula_sum 'Li6 Dy3 Y6 Sn6'
_cell_length_a 4.7709
_cell_length_b 4.7709
_cell_length_c 26.6428
_cell_angle_alpha 90.00
_cell_angle_beta 90.00
_cell_angle_gamma 120.00
_symmetry_space_group_name_H-M 'R -3 m'
_symmetry_Int_Tables_number 166
_symmetry_space_group_name_Hall '-R 3 2"'
loop_
_atom_site_label
_atom_site_type_symbol
_atom_site_fract_x
_atom_site_fract_y
_atom_site_fract_z
_atom_site_occupancy
Li1 Li 0.0000 0.0000 0.0999 1
Dy1 Dy 0.0000 0.0000 0.5000 1
Y1 Y 0.0000 0.0000 0.3716 1
Sn1 Sn 0.0000 0.0000 0.2361 1
```

Most intense lines, 10° ≤ 2θ ≤ 80°, by intensity:
2theta, intensity
37.71, 100
34.59, 100
31.97, 89
21.77, 77
65.52, 36
52.10, 31
66.08, 30
25.37, 30
50.25, 25
64.50, 24

***

Record 2
# Ce2ZnTc3
Theoretical PXRD pattern, Cu Kα, 1.54184 Å. Input: DFT lattice parameters and positions (GGA-PBE).
Intensities are scaled so that the largest is 100.

```
data_Ce2ZnTc3
_chemical_formula_sum 'Ce4 Zn2 Tc6'
_cell_length_a 8.8495
_cell_length_b 5.5877
_cell_length_c 5.4577
_cell_angle_alpha 90.00
_cell_angle_beta 124.33
_cell_angle_gamma 90.00
_symmetry_space_group_name_H-M 'C 1 2/m 1'
_symmetry_Int_Tables_number 12
loop_
_symmetry_equiv_pos_as_xyz
'x,y,z'
'-x,-y,-z'
'-x,y,-z'
'x,-y,z'
'x+1/2,y+1/2,z'
'-x+1/2,-y+1/2,-z'
'-x+1/2,y+1/2,-z'
'x+1/2,-y+1/2,z'
loop_
_atom_site_label
_atom_site_type_symbol
_atom_site_fract_x
_atom_site_fract_y
_atom_site_fract_z
_atom_site_occupancy
Ce1 Ce 0.1125 0.0000 0.3641 1
Zn1 Zn 0.0000 0.5000 0.5000 1
Tc1 Tc 0.0000 0.5000 0.0000 1
Tc2 Tc 0.2500 0.2500 0.0000 1
```

Most intense lines, 10° ≤ 2θ ≤ 80°, by intensity:
2theta, intensity
39.51, 100
32.84, 100
38.59, 76
38.09, 69
40.65, 69
37.89, 61
41.57, 41
40.39, 41
34.39, 38
68.79, 33